PrSm5Dy8: computed powder diffraction line list (λ = 1.5418 Å (Cu Kα)), based on a crystal structure in Alexandria, relaxed with PBE.

Structure:
```
data_PrSm5Dy8
_chemical_formula_sum 'Pr2 Sm10 Dy16'
_symmetry_space_group_name_H-M 'C 1 2/m 1'
_symmetry_Int_Tables_number 12
_cell_length_a 17.3730
_cell_length_b 3.5506
_cell_length_c 16.8188
_cell_angle_alpha 90.00
_cell_angle_beta 118.07
_cell_angle_gamma 90.00
loop_
_symmetry_equiv_pos_as_xyz
'x,y,z'
'-x,-y,-z'
'-x,y,-z'
'x,-y,z'
'x+1/2,y+1/2,z'
'-x+1/2,-y+1/2,-z'
'-x+1/2,y+1/2,-z'
'x+1/2,-y+1/2,z'
loop_
_atom_site_label
_atom_site_type_symbol
_atom_site_fract_x
_atom_site_fract_y
_atom_site_fract_z
Pr1 Pr 0.0000 0.0000 0.0000
Sm1 Sm 0.0000 0.5000 0.5000
Sm2 Sm 0.1458 0.0000 0.4416
Sm3 Sm 0.2143 0.0000 0.1444
Dy1 Dy 0.0804 0.5000 0.2245
Dy2 Dy 0.0814 0.0000 0.7230
Dy3 Dy 0.1471 0.5000 0.9399
Dy4 Dy 0.2155 0.5000 0.6454
```

Principal peaks in the range 15° ≤ 2θ ≤ 90°, in order of rising 2θ:
Position (°2θ)	I/Imax
29.91	37
31.17	100
31.34	48
32.56	45
32.86	45
41.47	13
47.89	19
51.47	13
61.47	29
62.25	14